[1]
# DyInAg2I6
Simulated XRD peak list, Cu Ka. Input: a cell relaxed with GGA-PBE.

Top 6 peaks for 2θ = 10–90°, by intensity:
d 3.562, 25.0 deg, I 100.0
d 2.312, 39.0 deg, I 54.8
d 4.473, 19.8 deg, I 45.0
d 2.794, 32.0 deg, I 30.4
d 2.392, 37.6 deg, I 23.4
d 2.181, 41.4 deg, I 22.1

Structural model:
```
DyInAg2I6
1.0
4.004 2.312 7.804
-4.004 2.312 7.804
0.000 -4.623 7.804
Dy In Ag I
1 1 2 6
Direct
0.000 0.000 0.000 Dy
0.500 0.500 0.500 In
0.268 0.268 0.268 Ag
0.732 0.732 0.732 Ag
0.076 0.385 0.768 I
0.232 0.924 0.615 I
0.385 0.768 0.076 I
0.615 0.232 0.924 I
0.768 0.076 0.385 I
0.924 0.615 0.232 I
```

---

[2]
# SrAlAg2Se4
Simulated XRD peak list, Cu Ka. Input: a cell relaxed with GGA-PBE.

Top 6 peaks for 2θ = 10–90°, by intensity:
d 3.118, 28.6 deg, I 100.0
d 2.528, 35.5 deg, I 60.2
d 2.973, 30.1 deg, I 35.4
d 1.970, 46.1 deg, I 26.8
d 1.958, 46.4 deg, I 25.7
d 2.479, 36.2 deg, I 23.4

Structural model:
```
SrAlAg2Se4
1.0
-3.557 3.593 3.962
3.557 -3.593 3.962
3.557 3.593 -3.962
Sr Al Ag Se
1 1 2 4
Direct
0.000 0.000 0.000 Sr
0.500 0.500 0.000 Al
0.301 0.801 0.500 Ag
0.699 0.199 0.500 Ag
0.131 0.133 0.605 Se
0.471 0.867 0.998 Se
0.529 0.526 0.395 Se
0.869 0.474 0.002 Se
```

---

[3]
# Sc6Zn5Sn
Simulated XRD peak list, Cu Ka. Input: a cell relaxed with GGA-PBE.

Top 6 peaks for 2θ = 10–90°, by intensity:
d 2.396, 37.5 deg, I 100.0
d 1.384, 67.7 deg, I 20.9
d 1.694, 54.1 deg, I 16.3
d 1.382, 67.8 deg, I 10.7
d 3.388, 26.3 deg, I 9.7
d 1.198, 80.1 deg, I 7.9

Structural model:
```
Sc6Zn5Sn
1.0
2.393 -7.190 0.000
2.393 7.190 0.000
0.000 0.000 6.781
Sc Zn Sn
6 5 1
Direct
0.000 0.000 0.240 Sc
0.000 0.000 0.760 Sc
0.329 0.671 0.242 Sc
0.329 0.671 0.758 Sc
0.671 0.329 0.242 Sc
0.671 0.329 0.758 Sc
0.164 0.836 0.000 Zn
0.173 0.827 0.500 Zn
0.500 0.500 0.000 Zn
0.827 0.173 0.500 Zn
0.836 0.164 0.000 Zn
0.500 0.500 0.500 Sn
```

---

[4]
# Rb2NbOsI6
Simulated XRD peak list, Cu Ka. Input: a cell relaxed with GGA-PBE.

Top 6 peaks for 2θ = 10–90°, by intensity:
d 2.841, 31.5 deg, I 100.0
d 3.285, 27.1 deg, I 84.1
d 5.690, 15.6 deg, I 74.4
d 2.013, 45.0 deg, I 72.9
d 2.853, 31.4 deg, I 50.6
d 1.642, 56.0 deg, I 37.7

Structural model:
```
Rb2NbOsI6
1.0
-4.017 4.017 5.706
4.017 -4.017 5.706
4.017 4.017 -5.706
Rb Nb Os I
2 1 1 6
Direct
0.250 0.750 0.500 Rb
0.750 0.250 0.500 Rb
0.000 0.000 0.000 Nb
0.500 0.500 0.000 Os
0.257 0.257 0.000 I
0.258 0.258 0.515 I
0.258 0.742 0.000 I
0.742 0.258 0.000 I
0.742 0.742 0.485 I
0.743 0.743 0.000 I
```

---

[5]
# Pm6SiP2Br3
Simulated XRD peak list, Cu Ka. Input: a cell relaxed with GGA-PBE.

Top 6 peaks for 2θ = 10–90°, by intensity:
d 3.012, 29.7 deg, I 100.0
d 3.428, 26.0 deg, I 28.6
d 2.178, 41.5 deg, I 27.3
d 2.086, 43.4 deg, I 26.2
d 2.783, 32.2 deg, I 20.2
d 1.581, 58.4 deg, I 15.8

Structural model:
```
Pm6SiP2Br3
1.0
9.452 -2.082 0.000
9.452 2.082 0.000
-2.535 0.000 8.356
Pm Si P Br
6 1 2 3
Direct
0.012 0.012 0.228 Pm
0.322 0.322 0.445 Pm
0.343 0.343 0.889 Pm
0.657 0.657 0.111 Pm
0.678 0.678 0.555 Pm
0.988 0.988 0.772 Pm
0.500 0.500 0.000 Si
0.168 0.168 0.334 P
0.832 0.832 0.666 P
0.166 0.166 0.832 Br
0.500 0.500 0.500 Br
0.834 0.834 0.168 Br
```

---

[6]
# TlSnO
Simulated XRD peak list, Cu Ka. Input: a cell relaxed with GGA-PBE.

Top 6 peaks for 2θ = 10–90°, by intensity:
d 3.147, 28.4 deg, I 100.0
d 2.584, 34.7 deg, I 32.4
d 2.924, 30.6 deg, I 30.7
d 2.672, 33.5 deg, I 25.3
d 2.534, 35.4 deg, I 23.3
d 1.614, 57.0 deg, I 22.8

Structural model:
```
TlSnO
1.0
20.276 0.000 0.000
0.000 4.014 0.000
0.000 0.000 3.580
Tl Sn O
4 4 4
Direct
0.054 0.250 0.226 Tl
0.446 0.750 0.726 Tl
0.554 0.250 0.274 Tl
0.946 0.750 0.774 Tl
0.191 0.750 0.499 Sn
0.309 0.250 0.999 Sn
0.691 0.750 0.001 Sn
0.809 0.250 0.501 Sn
0.246 0.250 0.499 O
0.254 0.750 0.999 O
0.746 0.250 0.001 O
0.754 0.750 0.501 O
```

---

[7]
# Zr8TiTe2
Simulated XRD peak list, Cu Ka. Input: a cell relaxed with GGA-PBE.

Top 6 peaks for 2θ = 10–90°, by intensity:
d 2.281, 39.5 deg, I 100.0
d 2.572, 34.9 deg, I 93.2
d 2.788, 32.1 deg, I 80.6
d 2.702, 33.2 deg, I 70.6
d 2.449, 36.7 deg, I 61.5
d 3.267, 27.3 deg, I 53.7

Structural model:
```
Zr8TiTe2
1.0
4.011 -6.411 0.000
4.011 6.411 0.000
-1.707 0.000 5.020
Zr Ti Te
8 1 2
Direct
0.086 0.308 0.616 Zr
0.219 0.781 0.000 Zr
0.308 0.086 0.616 Zr
0.378 0.378 0.167 Zr
0.622 0.622 0.833 Zr
0.692 0.914 0.384 Zr
0.781 0.219 0.000 Zr
0.914 0.692 0.384 Zr
0.000 0.000 0.000 Ti
0.310 0.690 0.500 Te
0.690 0.310 0.500 Te
```

---

[8]
# Na2SrHfTe4
Simulated XRD peak list, Cu Ka. Input: a cell relaxed with GGA-PBE.

Top 6 peaks for 2θ = 10–90°, by intensity:
d 3.187, 28.0 deg, I 100.0
d 7.521, 11.8 deg, I 68.5
d 3.198, 27.9 deg, I 47.9
d 2.263, 39.8 deg, I 36.8
d 2.251, 40.0 deg, I 32.3
d 2.193, 41.2 deg, I 18.5

Structural model:
```
Na2SrHfTe4
1.0
7.873 0.000 0.000
0.000 4.385 0.000
-2.465 0.000 7.538
Na Sr Hf Te
2 1 1 4
Direct
0.000 0.000 0.000 Na
0.500 0.500 0.000 Na
0.000 0.500 0.500 Sr
0.500 0.000 0.500 Hf
0.280 0.000 0.734 Te
0.286 0.500 0.278 Te
0.714 0.500 0.722 Te
0.720 0.000 0.266 Te
```

---

[9]
# Th2PaAl
Simulated XRD peak list, Cu Ka. Input: a cell relaxed with GGA-PBE.

Top 6 peaks for 2θ = 10–90°, by intensity:
d 2.744, 32.6 deg, I 100.0
d 2.414, 37.2 deg, I 35.3
d 1.449, 64.3 deg, I 29.7
d 1.667, 55.1 deg, I 23.4
d 4.828, 18.4 deg, I 15.8
d 2.306, 39.1 deg, I 15.5

Structural model:
```
Th2PaAl
1.0
4.828 0.000 0.000
0.000 4.828 0.000
0.000 0.000 4.611
Th Pa Al
2 1 1
Direct
0.000 0.500 0.000 Th
0.500 0.000 0.000 Th
0.000 0.000 0.500 Pa
0.500 0.500 0.500 Al
```

---

[10]
# Li2SmY2Tl2
Simulated XRD peak list, Cu Ka. Input: a cell relaxed with GGA-PBE.

Top 6 peaks for 2θ = 10–90°, by intensity:
d 2.640, 34.0 deg, I 100.0
d 2.424, 37.1 deg, I 94.5
d 2.849, 31.4 deg, I 60.8
d 3.571, 24.9 deg, I 55.9
d 4.150, 21.4 deg, I 41.6
d 4.011, 22.2 deg, I 38.6

Structural model:
```
Li2SmY2Tl2
1.0
2.424 1.400 9.051
-2.424 1.400 9.051
0.000 -2.799 9.051
Li Sm Y Tl
2 1 2 2
Direct
0.100 0.100 0.100 Li
0.900 0.900 0.900 Li
0.500 0.500 0.500 Sm
0.373 0.373 0.373 Y
0.627 0.627 0.627 Y
0.239 0.239 0.239 Tl
0.761 0.761 0.761 Tl
```

---

[11]
# SrSm5Cd6
Simulated XRD peak list, Cu Ka. Input: a cell relaxed with GGA-PBE.

Top 6 peaks for 2θ = 10–90°, by intensity:
d 2.721, 32.9 deg, I 100.0
d 1.572, 58.7 deg, I 24.2
d 1.922, 47.3 deg, I 11.9
d 1.569, 58.9 deg, I 11.9
d 1.361, 69.0 deg, I 9.1
d 1.216, 78.7 deg, I 7.7

Structural model:
```
SrSm5Cd6
1.0
-2.721 3.854 8.147
2.721 -3.854 8.147
2.721 3.854 -8.147
Sr Sm Cd
1 5 6
Direct
0.000 0.000 0.000 Sr
0.163 0.663 0.500 Sm
0.331 0.331 0.000 Sm
0.500 0.000 0.500 Sm
0.669 0.669 0.000 Sm
0.837 0.337 0.500 Sm
0.087 0.829 0.258 Cd
0.267 0.500 0.767 Cd
0.429 0.171 0.258 Cd
0.571 0.829 0.742 Cd
0.733 0.500 0.233 Cd
0.913 0.171 0.742 Cd
```

---

[12]
# AlSi2
Simulated XRD peak list, Cu Ka. Input: a cell relaxed with GGA-PBE.

Top 6 peaks for 2θ = 10–90°, by intensity:
d 2.247, 40.1 deg, I 100.0
d 2.101, 43.1 deg, I 41.3
d 1.239, 77.0 deg, I 29.1
d 1.329, 70.9 deg, I 17.1
d 1.485, 62.5 deg, I 13.4
d 1.123, 86.7 deg, I 10.2

Structural model:
```
AlSi2
1.0
-1.485 1.485 5.151
1.485 -1.485 5.151
1.485 1.485 -5.151
Al Si
1 2
Direct
0.000 0.000 0.000 Al
0.324 0.324 0.000 Si
0.676 0.676 0.000 Si
```

---

[13]
# CaNb2O6
Simulated XRD peak list, Cu Ka. Input: a cell relaxed with GGA-PBE.

Top 6 peaks for 2θ = 10–90°, by intensity:
d 3.110, 28.7 deg, I 100.0
d 3.853, 23.1 deg, I 18.6
d 1.809, 50.4 deg, I 16.2
d 7.591, 11.7 deg, I 15.6
d 1.825, 50.0 deg, I 13.9
d 1.551, 59.6 deg, I 13.3

Structural model:
```
CaNb2O6
1.0
15.183 0.000 0.000
0.000 5.941 0.000
0.000 0.000 5.271
Ca Nb O
4 8 24
Direct
0.000 0.214 0.250 Ca
0.000 0.786 0.750 Ca
0.500 0.286 0.750 Ca
0.500 0.714 0.250 Ca
0.165 0.315 0.710 Nb
0.165 0.685 0.210 Nb
0.335 0.185 0.210 Nb
0.335 0.815 0.710 Nb
0.665 0.185 0.290 Nb
0.665 0.815 0.790 Nb
0.835 0.315 0.790 Nb
0.835 0.685 0.290 Nb
0.087 0.105 0.601 O
0.087 0.895 0.101 O
0.101 0.425 0.007 O
0.101 0.575 0.507 O
0.244 0.360 0.386 O
0.244 0.640 0.886 O
0.256 0.140 0.886 O
0.256 0.860 0.386 O
0.399 0.075 0.507 O
0.399 0.925 0.007 O
0.413 0.395 0.101 O
0.413 0.605 0.601 O
0.587 0.395 0.399 O
0.587 0.605 0.899 O
0.601 0.075 0.993 O
0.601 0.925 0.493 O
0.744 0.140 0.614 O
0.744 0.860 0.114 O
0.756 0.360 0.114 O
0.756 0.640 0.614 O
0.899 0.425 0.493 O
0.899 0.575 0.993 O
0.913 0.105 0.899 O
0.913 0.895 0.399 O
```